# 1
This entry pairs a crystal structure of LaNiO2 with its computed powder XRD pattern. Radiation: Cu Kα, 1.54184 Å. Structure: DFT lattice parameters and positions (GGA+U).
Kinematic intensities with the Lorentz-polarization factor, no thermal factor.

Structural model:
a b c (Å): 4.501 4.592 6.500
angles (deg): 89.92 69.75 89.78
Space group P1 (No. 1)
Asymmetric unit:
1 La 0.000 0.000 0.000 x1
2 La 0.331 0.500 0.338 x1
3 Ni 0.630 0.501 0.739 x1
4 Ni 0.690 0.001 0.620 x1
5 O 0.360 0.746 0.666 x1
6 O 0.419 0.000 0.163 x1
7 O 0.915 0.500 0.171 x1
8 O 0.974 0.256 0.666 x1

Most intense lines, 15° ≤ 2θ ≤ 90°, in order of rising 2θ:
hkl, d (Å), I (rel.)
0 1 1, 3.668, 44
1 1 1, 3.114, 41
1 -1 1, 3.103, 41
1 0 2, 3.017, 100
0 1 2, 2.540, 47
0 2 0, 2.296, 28
2 0 1, 2.250, 27
1 2 2, 1.829, 26
1 -2 2, 1.825, 26
1 -1 4, 1.532, 27

=====

# 2
This entry pairs a crystal structure of Rb2PmMoO6 with its computed powder XRD pattern. Radiation: Cu Kα, 1.54184 Å. Structure: DFT lattice parameters and positions (GGA+U).
Kinematic intensities with the Lorentz-polarization factor, no thermal factor.

Structural model:
a b c (Å): 6.6017 6.6017 6.0435
angles (deg): 90.00 90.00 120.00
Space group P-3m1 (No. 164)
Asymmetric unit:
1 Rb 0.3333 0.6667 0.4095 x2
2 Pm 0.0000 0.0000 0.0000 x1
3 Mo 0.0000 0.0000 0.5000 x1
4 O 0.1341 0.2682 0.7002 x6

Most intense lines, 15° ≤ 2θ ≤ 90°, in order of rising 2θ:
hkl, d (Å), I (rel.)
1 0 0, 5.717, 99
0 1 1, 4.153, 35
1 1 0, 3.301, 100
1 0 2, 2.672, 34
2 0 1, 2.584, 27
1 1 2, 2.229, 48
0 2 2, 2.077, 30
3 0 0, 1.906, 19
2 1 2, 1.758, 26
0 3 2, 1.612, 19

=====

Copy entry 1 word for word.
This entry pairs a crystal structure of LaNiO2 with its computed powder XRD pattern. Radiation: Cu Kα, 1.54184 Å. Structure: DFT lattice parameters and positions (GGA+U).
Kinematic intensities with the Lorentz-polarization factor, no thermal factor.

Structural model:
a b c (Å): 4.501 4.592 6.500
angles (deg): 89.92 69.75 89.78
Space group P1 (No. 1)
Asymmetric unit:
1 La 0.000 0.000 0.000 x1
2 La 0.331 0.500 0.338 x1
3 Ni 0.630 0.501 0.739 x1
4 Ni 0.690 0.001 0.620 x1
5 O 0.360 0.746 0.666 x1
6 O 0.419 0.000 0.163 x1
7 O 0.915 0.500 0.171 x1
8 O 0.974 0.256 0.666 x1

Most intense lines, 15° ≤ 2θ ≤ 90°, in order of rising 2θ:
hkl, d (Å), I (rel.)
0 1 1, 3.668, 44
1 1 1, 3.114, 41
1 -1 1, 3.103, 41
1 0 2, 3.017, 100
0 1 2, 2.540, 47
0 2 0, 2.296, 28
2 0 1, 2.250, 27
1 2 2, 1.829, 26
1 -2 2, 1.825, 26
1 -1 4, 1.532, 27

=====

> Which formula does entry 2 have?

Rb2PmMoO6